Entry 1:
For Tm5Rh2Au2, a cell relaxed with PBE gives the computed X-ray powder pattern in this record (a wavelength of 1.5418 Å).

Cell and atoms:
```
Tm5Rh2Au2
1.0
7.5510 -3.6690 0.0000
7.5510 3.6690 0.0000
0.0000 0.0000 7.4668
Tm Rh Au
10 4 4
direct
0.0000 0.0000 0.0000
0.0400 0.7002 0.6698
0.2002 0.5400 0.1698
0.2998 0.9600 0.6698
0.4600 0.7998 0.1698
0.5000 0.5000 0.5000
0.5400 0.2002 0.8302
0.7002 0.0400 0.3302
0.7998 0.4600 0.8302
0.9600 0.2998 0.3302
0.1335 0.8665 0.3657
0.3665 0.6335 0.8657
0.6335 0.3665 0.1343
0.8665 0.1335 0.6343
0.2073 0.2073 0.0000
0.2927 0.2927 0.5000
0.7073 0.7073 0.5000
0.7927 0.7927 0.0000
```

The 10 most intense peaks (15° ≤ 2θ ≤ 90°), by angle:
2θ 27.07, I 22; 2θ 32.25, I 58; 2θ 33.76, I 42; 2θ 34.07, I 41; 2θ 34.27, I 100; 2θ 36.20, I 61; 2θ 38.66, I 45; 2θ 39.21, I 43; 2θ 40.33, I 22; 2θ 61.38, I 25

=====

Entry 2:
For Rb2ThReN4, a cell relaxed with PBE gives the computed X-ray powder pattern in this record (a wavelength of 1.5418 Å).

Cell and atoms:
```
Rb2ThReN4
1.0
7.4043 0.0000 0.0000
0.0000 7.9704 0.0000
0.0000 0.0000 6.2758
Rb Th Re N
4 2 2 8
direct
0.2436 0.1496 0.0000
0.2564 0.8504 0.5000
0.7436 0.8504 0.5000
0.7564 0.1496 0.0000
0.0000 0.6373 0.9774
0.5000 0.3627 0.4774
0.0000 0.3687 0.4741
0.5000 0.6313 0.9741
0.0000 0.4068 0.1857
0.0000 0.5697 0.6198
0.2097 0.2506 0.5342
0.2903 0.7494 0.0342
0.5000 0.4303 0.1198
0.5000 0.5932 0.6857
0.7097 0.7494 0.0342
0.7903 0.2506 0.5342
```

The 10 most intense peaks (15° ≤ 2θ ≤ 90°), by angle:
2θ 17.99, I 19; 2θ 26.51, I 100; 2θ 28.44, I 31; 2θ 30.19, I 53; 2θ 36.07, I 11; 2θ 39.30, I 19; 2θ 41.85, I 16; 2θ 49.20, I 21; 2θ 51.42, I 30; 2θ 56.76, I 16

=====

Entry 3:
For Rb2UTaS6, a cell relaxed with PBE gives the computed X-ray powder pattern in this record (a wavelength of 1.5418 Å).

Cell and atoms:
```
Rb2UTaS6
1.0
3.6297 2.0956 11.8650
-3.6297 2.0956 11.8650
0.0000 -4.1913 11.8650
Rb U Ta S
4 2 2 12
direct
0.1279 0.1279 0.1279
0.2891 0.2891 0.2891
0.7109 0.7109 0.7109
0.8721 0.8721 0.8721
0.4127 0.4127 0.4127
0.5873 0.5873 0.5873
0.0000 0.0000 0.0000
0.5000 0.5000 0.5000
0.1427 0.6161 0.6161
0.1996 0.1996 0.7197
0.1996 0.7197 0.1996
0.2803 0.8004 0.8004
0.3839 0.3839 0.8573
0.3839 0.8573 0.3839
0.6161 0.1427 0.6161
0.6161 0.6161 0.1427
0.7197 0.1996 0.1996
0.8004 0.2803 0.8004
0.8004 0.8004 0.2803
0.8573 0.3839 0.3839
```

The 10 most intense peaks (15° ≤ 2θ ≤ 90°), by angle:
2θ 22.49, I 34; 2θ 24.52, I 100; 2θ 28.83, I 33; 2θ 33.52, I 41; 2θ 38.20, I 45; 2θ 39.22, I 18; 2θ 43.17, I 25; 2θ 45.91, I 30; 2θ 50.27, I 30; 2θ 68.35, I 21

=====

Entry 4:
For Ta2Ti6Bi, a cell relaxed with PBE gives the computed X-ray powder pattern in this record (a wavelength of 1.5418 Å).

Cell and atoms:
```
Ta2Ti6Bi
1.0
7.0904 -5.3850 0.0000
7.0904 5.3850 0.0000
0.0000 0.0000 4.6727
Ta Ti Bi
4 12 2
direct
0.1450 0.2805 0.2500
0.2805 0.1450 0.7500
0.7195 0.8550 0.2500
0.8550 0.7195 0.7500
0.0513 0.7300 0.2500
0.1157 0.4788 0.7500
0.2700 0.9487 0.2500
0.3365 0.4663 0.2500
0.4663 0.3365 0.7500
0.4788 0.1157 0.2500
0.5212 0.8843 0.7500
0.5337 0.6635 0.2500
0.6635 0.5337 0.7500
0.7300 0.0513 0.7500
0.8843 0.5212 0.2500
0.9487 0.2700 0.7500
0.2970 0.7030 0.7500
0.7030 0.2970 0.2500
```

The 10 most intense peaks (15° ≤ 2θ ≤ 90°), by angle:
2θ 20.52, I 27; 2θ 20.71, I 47; 2θ 21.66, I 22; 2θ 28.25, I 37; 2θ 36.86, I 20; 2θ 38.04, I 59; 2θ 38.57, I 100; 2θ 40.54, I 19; 2θ 44.11, I 22; 2θ 57.17, I 17